Record 1
Diffraction record for Li2TiFe2O5. The powder diffraction line list is calculated, not measured: it uses a structure optimized by DFT (GGA+U) and λ = 1.5418 Å (Cu Kα).
Intensities are scaled so that the largest is 100.

Most intense lines, 10 to 90 degrees two-theta, most intense first:
2theta  I (rel.)
40.99  100
42.90  92
43.56  86
21.84  57
60.83  53
61.35  53
21.60  52
25.75  42

Structural model:
a = 5.2987 Å, b = 5.3028 Å, c = 7.8610 Å
α = 82.22°, β = 70.80°, γ = 67.63°
Element x y z (fractional)
Li 0.0000 0.0000 0.0000
Li 0.0830 0.4882 0.8050
Li 0.3867 0.9882 0.1981
Li 0.6918 0.5028 0.6043
Ti 0.1765 0.9850 0.6130
Ti 0.4809 0.4830 0.0031
Fe 0.2930 0.4884 0.4025
Fe 0.5929 0.9916 0.8093
Fe 0.7942 0.9878 0.3911
Fe 0.8826 0.4970 0.2043
O 0.0391 0.2441 0.4124
O 0.1466 0.7383 0.1873
O 0.2579 0.2708 0.0012
O 0.3310 0.7447 0.8017
O 0.4267 0.1992 0.6008
O 0.5082 0.7487 0.4182
O 0.6396 0.2478 0.1830
O 0.7069 0.7146 0.0030
O 0.8412 0.2429 0.7993
O 0.9635 0.7599 0.6039

Record 2
Diffraction record for Li5Ti2Fe3O10. The powder diffraction line list is calculated, not measured: it uses a structure optimized by DFT (GGA+U) and λ = 1.5418 Å (Cu Kα).
Intensities are scaled so that the largest is 100.

Most intense lines, 10 to 90 degrees two-theta, most intense first:
2theta  I (rel.)
18.07  100
12.34  72
42.55  59
42.40  58
42.77  58
61.62  46
62.03  31
34.98  20

Structural model:
a = 5.1943 Å, b = 5.2159 Å, c = 7.9168 Å
α = 70.95°, β = 71.30°, γ = 80.23°
Element x y z (fractional)
Li 0.0000 0.0000 0.0000
Li 0.0031 0.3710 0.1975
Li 0.0139 0.8119 0.3863
Li 0.0211 0.1978 0.5839
Li 0.5107 0.1017 0.2869
Ti 0.4877 0.7065 0.1008
Ti 0.5283 0.4987 0.4808
Fe 0.0075 0.5907 0.7956
Fe 0.5094 0.2944 0.8977
Fe 0.5130 0.9038 0.6856
O 0.2682 0.0196 0.1417
O 0.2768 0.8181 0.5526
O 0.2812 0.6597 0.9423
O 0.2822 0.2486 0.7209
O 0.2907 0.4651 0.3341
O 0.7300 0.7287 0.2487
O 0.7367 0.9336 0.8520
O 0.7423 0.1641 0.4562
O 0.7455 0.5656 0.6262
O 0.7501 0.3731 0.0389

Record 3
Diffraction record for Li2TiFe3O8. The powder diffraction line list is calculated, not measured: it uses a structure optimized by DFT (GGA+U) and λ = 1.5418 Å (Cu Kα).
Intensities are scaled so that the largest is 100.

Most intense lines, 10 to 90 degrees two-theta, most intense first:
2theta  I (rel.)
18.14  100
35.02  22
42.47  19
42.63  19
42.99  18
35.29  12
61.75  11
61.99  11

Structural model:
a = 5.9800 Å, b = 5.9867 Å, c = 10.3311 Å
α = 73.52°, β = 73.83°, γ = 60.32°
Element x y z (fractional)
Li 0.0599 0.0639 0.3112
Li 0.4308 0.4531 0.1885
Li 0.5692 0.5469 0.8115
Li 0.9401 0.9361 0.6888
Ti 0.2717 0.2218 0.7501
Ti 0.7283 0.7782 0.2499
Fe 0.0000 0.0000 0.0000
Fe 0.0000 0.5000 0.0000
Fe 0.0000 0.5000 0.5000
Fe 0.5000 0.0000 0.0000
Fe 0.5000 0.0000 0.5000
Fe 0.5000 0.5000 0.5000
O 0.0898 0.6659 0.1164
O 0.1285 0.1247 0.1035
O 0.1331 0.5872 0.6186
O 0.1482 0.1330 0.6244
O 0.3497 0.3592 0.8749
O 0.3541 0.3751 0.3965
O 0.3694 0.8982 0.8744
O 0.4062 0.8557 0.3759
O 0.5938 0.1443 0.6241
O 0.6306 0.1018 0.1256
O 0.6459 0.6249 0.6035
O 0.6503 0.6408 0.1251
O 0.8518 0.8670 0.3756
O 0.8669 0.4128 0.3814
O 0.8715 0.8753 0.8965
O 0.9102 0.3341 0.8836

Record 4
Diffraction record for Li3TiFe3O8. The powder diffraction line list is calculated, not measured: it uses a structure optimized by DFT (GGA+U) and λ = 1.5418 Å (Cu Kα).
Intensities are scaled so that the largest is 100.

Most intense lines, 10 to 90 degrees two-theta, most intense first:
2theta  I (rel.)
21.93  100
20.75  83
31.41  50
34.98  44
36.07  42
56.47  29
27.13  27
31.85  25

Structural model:
a = 5.6194 Å, b = 6.6084 Å, c = 10.2600 Å
α = 89.93°, β = 89.99°, γ = 89.93°
Element x y z (fractional)
Li 0.0000 0.0000 0.0000
Li 0.0006 0.0018 0.5043
Li 0.1750 0.7567 0.2532
Li 0.5114 0.2611 0.4997
Li 0.5122 0.2598 0.0038
Li 0.6664 0.5131 0.7526
Ti 0.1662 0.2578 0.7494
Ti 0.1691 0.2589 0.2490
Fe 0.4997 0.7565 0.4994
Fe 0.5006 0.7557 0.0002
Fe 0.6666 0.0061 0.2490
Fe 0.6682 0.0059 0.7490
Fe 0.9973 0.5156 0.5009
Fe 0.9980 0.5157 0.9997
O 0.0127 0.4767 0.8142
O 0.0440 0.4892 0.3161
O 0.1532 0.2715 0.5683
O 0.1580 0.2729 0.0678
O 0.1690 0.7507 0.5377
O 0.1716 0.7481 0.0552
O 0.4730 0.2283 0.3059
O 0.4826 0.2426 0.8019
O 0.5064 0.7820 0.3144
O 0.5403 0.7686 0.8158
O 0.6575 0.9980 0.0623
O 0.6581 0.9986 0.5623
O 0.6728 0.5144 0.0376
O 0.6731 0.5175 0.5548
O 0.9892 0.0451 0.8062
O 0.9955 0.0324 0.3015

Record 5
Diffraction record for Li4Ti5Fe3O16. The powder diffraction line list is calculated, not measured: it uses a structure optimized by DFT (GGA+U) and λ = 1.5418 Å (Cu Kα).
Intensities are scaled so that the largest is 100.

Most intense lines, 10 to 90 degrees two-theta, most intense first:
2theta  I (rel.)
18.43  100
19.53  92
45.10  62
36.06  56
19.41  56
59.95  47
35.32  47
39.65  46

Structural model:
a = 5.9849 Å, b = 5.9849 Å, c = 9.6289 Å
α = 90.07°, β = 90.07°, γ = 59.50°
Element x y z (fractional)
Li 0.0000 0.0000 0.0000
Li 0.0037 0.0037 0.5003
Li 0.3412 0.3412 0.5958
Li 0.6705 0.6705 0.0946
Ti 0.1628 0.6541 0.2726
Ti 0.3362 0.3362 0.9934
Ti 0.6541 0.1628 0.2726
Ti 0.6560 0.6560 0.4957
Ti 0.8266 0.8266 0.7639
Fe 0.1737 0.1737 0.2823
Fe 0.3430 0.8309 0.7831
Fe 0.8309 0.3430 0.7831
O 0.0000 0.0000 0.6892
O 0.0449 0.4985 0.1469
O 0.1714 0.1714 0.9025
O 0.1759 0.6628 0.8985
O 0.3408 0.8226 0.4027
O 0.3493 0.3493 0.3899
O 0.4843 0.4843 0.1575
O 0.4985 0.0449 0.1469
O 0.5273 0.5273 0.6505
O 0.5271 0.9701 0.6541
O 0.6628 0.1759 0.8985
O 0.6779 0.6779 0.8892
O 0.8226 0.3408 0.4027
O 0.8336 0.8336 0.3941
O 0.9701 0.5271 0.6541
O 0.9948 0.9948 0.1884

Record 6
Diffraction record for Li2TiFe2O5. The powder diffraction line list is calculated, not measured: it uses a structure optimized by DFT (GGA+U) and λ = 1.5418 Å (Cu Kα).
Intensities are scaled so that the largest is 100.

Most intense lines, 10 to 90 degrees two-theta, most intense first:
2theta  I (rel.)
42.35  100
62.38  52
43.57  46
36.81  42
22.19  39
19.10  34
78.25  18
29.92  17

Structural model:
a = 7.9806 Å, b = 7.9806 Å, c = 5.1282 Å
α = 95.73°, β = 95.73°, γ = 142.45°
Element x y z (fractional)
Li 0.0526 0.9474 0.5000
Li 0.2528 0.7543 0.5016
Li 0.7543 0.2528 0.0016
Li 0.9474 0.0526 0.0000
Ti 0.1550 0.8616 0.0019
Ti 0.8616 0.1550 0.5019
Fe 0.3506 0.6574 0.0037
Fe 0.4548 0.5478 0.4987
Fe 0.5478 0.4548 0.9987
Fe 0.6574 0.3506 0.5037
O 0.0033 0.5018 0.7512
O 0.0882 0.3893 0.2658
O 0.1852 0.2961 0.7452
O 0.2961 0.1852 0.2452
O 0.3893 0.0882 0.7658
O 0.5018 0.0033 0.2512
O 0.6145 0.9092 0.7301
O 0.7177 0.8337 0.2660
O 0.8337 0.7177 0.7660
O 0.9092 0.6145 0.2301